Starting from a cell relaxed with GGA-PBE, the XRD peak list of PrNi5Sn was calculated for a wavelength of 1.5418 Å.
Lines closer than 0.1° are merged.

Structure:
```
data_PrNi5Sn
_chemical_formula_sum 'Pr4 Ni20 Sn4'
_cell_length_a 4.9229
_cell_length_b 4.9229
_cell_length_c 19.7520
_cell_angle_alpha 90.00
_cell_angle_beta 90.00
_cell_angle_gamma 120.00
_symmetry_space_group_name_H-M 'P 63/m'
_symmetry_Int_Tables_number 176
_symmetry_space_group_name_Hall '-P 6c'
loop_
_atom_site_label
_atom_site_fract_x
_atom_site_fract_y
_atom_site_fract_z
_atom_site_occupancy
Pr1 0.0000 0.0000 0.0000 1
Pr2 0.3333 0.6667 0.2500 1
Ni1 0.0000 0.0000 0.2500 1
Ni2 0.1649 0.3322 0.6464 1
Ni3 0.3333 0.6667 0.5438 1
Ni4 0.3333 0.6667 0.7500 1
Sn1 0.3333 0.6667 0.0874 1
```

Principal peaks in the range 10 to 80 degrees two-theta, most intense first:
2θ 36.5, rel. 1000, hkl 1 1 0; 2θ 34.4, rel. 678, hkl 1 0 6; 2θ 41.0, rel. 649, hkl 1 1 4; 2θ 46.0, rel. 621, hkl 1 1 6; 2θ 42.7, rel. 513, hkl 2 0 1; 2θ 38.2, rel. 432, hkl 1 0 7

=====

Starting from a cell relaxed with GGA-PBE, the XRD peak list of PrNi4Sn2 was calculated for a wavelength of 1.5418 Å.
Lines closer than 0.1° are merged.

Structure:
```
data_PrNi4Sn2
_chemical_formula_sum 'Pr4 Ni16 Sn8'
_cell_length_a 7.7291
_cell_length_b 7.7291
_cell_length_c 7.9231
_cell_angle_alpha 90.00
_cell_angle_beta 90.00
_cell_angle_gamma 90.00
_symmetry_space_group_name_H-M 'I -4 c 2'
_symmetry_Int_Tables_number 120
_symmetry_space_group_name_Hall 'I -4 -2c'
loop_
_atom_site_label
_atom_site_fract_x
_atom_site_fract_y
_atom_site_fract_z
_atom_site_occupancy
Pr1 0.0000 0.0000 0.2500 1
Ni1 0.1375 0.3614 0.1638 1
Sn1 0.1596 0.3404 0.5000 1
```

Principal peaks in the range 10 to 80 degrees two-theta, most intense first:
2θ 43.1, rel. 1000, hkl 2 1 3; 2θ 36.8, rel. 930, hkl 3 1 0; 2θ 32.4, rel. 379, hkl 2 0 2; 2θ 27.8, rel. 288, hkl 1 1 2; 2θ 75.4, rel. 257, hkl 5 2 3; 2θ 50.0, rel. 163, hkl 3 3 0